No. 1
The following is a calculated X-ray powder pattern of PuTl2CrO8. It was derived from a cell relaxed with PBE+U, using a wavelength of 1.5418 Å.
Kinematic intensities with the Lorentz-polarization factor, no thermal factor.

Structural model:
Lattice parameters (Å, degrees): 5.129 6.471 5.141 90.00 93.49 90.00
Space group P2/m (No. 10)
Inequivalent atoms, fractional coordinates:
Pu 0.000 0.000 0.000 x1
Tl 0.500 0.260 0.500 x2
Cr 0.000 0.500 0.000 x1
O 0.170 0.241 0.833 x4
O 0.282 0.500 0.286 x2
O 0.293 0.000 0.296 x2

Most intense lines, 10° ≤ 2θ ≤ 90°, low angle first:
- 22.1 deg, d 4.018, intensity 269
- 23.8 deg, d 3.740, intensity 725
- 25.3 deg, d 3.519, intensity 579
- 32.7 deg, d 2.736, intensity 1000
- 35.0 deg, d 2.563, intensity 367
- 47.8 deg, d 1.901, intensity 464
- 48.7 deg, d 1.870, intensity 137
- 49.5 deg, d 1.841, intensity 407
- 61.3 deg, d 1.512, intensity 125
- 61.4 deg, d 1.509, intensity 123

---

No. 2
The following is a calculated X-ray powder pattern of RbCr3O8. It was derived from a cell relaxed with PBE+U, using a wavelength of 1.5418 Å.
Kinematic intensities with the Lorentz-polarization factor, no thermal factor.

Structural model:
Lattice parameters (Å, degrees): 5.1870 5.1870 24.9838 90.00 90.00 120.00
Space group R-3 (No. 148, hexagonal axes)
Inequivalent atoms, fractional coordinates:
Rb 0.0000 0.0000 0.0000 x3
Cr 0.0000 0.0000 0.2345 x6
Cr 0.0000 0.0000 0.5000 x3
O 0.0000 0.0000 0.3000 x6
O 0.0023 0.6123 0.8804 x18

Most intense lines, 10° ≤ 2θ ≤ 90°, low angle first:
- 24.4 deg, d 3.647, intensity 1000
- 32.2 deg, d 2.776, intensity 83
- 34.6 deg, d 2.593, intensity 301
- 35.0 deg, d 2.564, intensity 157
- 42.8 deg, d 2.114, intensity 123
- 50.0 deg, d 1.823, intensity 94
- 56.1 deg, d 1.638, intensity 153
- 56.7 deg, d 1.624, intensity 92
- 62.0 deg, d 1.497, intensity 96
- 78.2 deg, d 1.222, intensity 66

---

No. 3
The following is a calculated X-ray powder pattern of RbCr2O4. It was derived from a cell relaxed with PBE+U, using a wavelength of 1.5418 Å.
Kinematic intensities with the Lorentz-polarization factor, no thermal factor.

Structural model:
Lattice parameters (Å, degrees): 5.092 3.068 6.861 90.00 105.37 90.00
Space group P2/m (No. 10)
Inequivalent atoms, fractional coordinates:
Rb 0.000 0.000 0.000 x1
Cr 0.000 0.500 0.500 x1
Cr 0.500 0.000 0.500 x1
O 0.211 0.000 0.653 x2
O 0.270 0.500 0.351 x2

Most intense lines, 10° ≤ 2θ ≤ 90°, low angle first:
- 13.4 deg, d 6.616, intensity 590
- 18.1 deg, d 4.910, intensity 520
- 19.4 deg, d 4.564, intensity 376
- 27.0 deg, d 3.308, intensity 719
- 35.3 deg, d 2.546, intensity 420
- 36.6 deg, d 2.456, intensity 264
- 38.9 deg, d 2.313, intensity 1000
- 39.5 deg, d 2.282, intensity 464
- 50.3 deg, d 1.813, intensity 278
- 62.6 deg, d 1.485, intensity 241

---

No. 4
The following is a calculated X-ray powder pattern of Rb2CrReO6. It was derived from a cell relaxed with PBE+U, using a wavelength of 1.5418 Å.
Kinematic intensities with the Lorentz-polarization factor, no thermal factor.

Structural model:
Lattice parameters (Å, degrees): 6.2574 6.2574 5.1629 90.00 90.00 120.00
Space group P-3m1 (No. 164)
Inequivalent atoms, fractional coordinates:
Rb 0.3333 0.6667 0.2593 x2
Cr 0.0000 0.0000 0.5000 x1
Re 0.0000 0.0000 0.0000 x1
O 0.1373 0.2746 0.7670 x6

Most intense lines, 10° ≤ 2θ ≤ 90°, low angle first:
- 16.4 deg, d 5.419, intensity 948
- 23.8 deg, d 3.738, intensity 755
- 28.5 deg, d 3.129, intensity 1000
- 37.5 deg, d 2.399, intensity 432
- 38.6 deg, d 2.331, intensity 490
- 47.8 deg, d 1.904, intensity 193
- 48.7 deg, d 1.869, intensity 390
- 50.5 deg, d 1.806, intensity 188
- 57.4 deg, d 1.605, intensity 429
- 59.0 deg, d 1.564, intensity 178

---

No. 5
The following is a calculated X-ray powder pattern of RbCrRhO6. It was derived from a cell relaxed with PBE+U, using a wavelength of 1.5418 Å.
Kinematic intensities with the Lorentz-polarization factor, no thermal factor.

Structural model:
Lattice parameters (Å, degrees): 5.1747 5.1747 6.2502 90.00 90.00 120.00
Space group P3 (No. 143)
Inequivalent atoms, fractional coordinates:
Rb 0.0000 0.0000 0.0000 x1
Cr 0.3333 0.6667 0.5069 x1
Rh 0.6667 0.3333 0.4778 x1
O 0.0136 0.3948 0.6525 x3
O 0.0188 0.5879 0.3097 x3

Most intense lines, 10° ≤ 2θ ≤ 90°, low angle first:
- 14.2 deg, d 6.250, intensity 298
- 24.4 deg, d 3.642, intensity 1000
- 28.6 deg, d 3.125, intensity 118
- 34.7 deg, d 2.587, intensity 250
- 42.9 deg, d 2.109, intensity 148
- 45.5 deg, d 1.993, intensity 395
- 48.2 deg, d 1.889, intensity 114
- 56.3 deg, d 1.635, intensity 185
- 60.7 deg, d 1.526, intensity 103
- 70.4 deg, d 1.338, intensity 89

---

No. 6
The following is a calculated X-ray powder pattern of Rb2CrRhO4. It was derived from a cell relaxed with PBE+U, using a wavelength of 1.5418 Å.
Kinematic intensities with the Lorentz-polarization factor, no thermal factor.

Structural model:
Lattice parameters (Å, degrees): 4.922 12.326 21.088 90.00 90.00 90.00
Space group Fddd (No. 70, origin choice 2)
Inequivalent atoms, fractional coordinates:
Rb 0.125 0.125 0.298 x16
Cr 0.125 0.125 0.125 x8
Rh 0.125 0.125 0.625 x8
O 0.059 0.287 0.425 x32

Most intense lines, 10° ≤ 2θ ≤ 90°, low angle first:
- 16.7 deg, d 5.321, intensity 320
- 16.8 deg, d 5.272, intensity 288
- 23.2 deg, d 3.832, intensity 576
- 29.0 deg, d 3.082, intensity 431
- 29.3 deg, d 3.053, intensity 1000
- 31.1 deg, d 2.878, intensity 636
- 39.4 deg, d 2.286, intensity 423
- 45.0 deg, d 2.016, intensity 341
- 51.5 deg, d 1.774, intensity 231
- 54.4 deg, d 1.687, intensity 337

---

No. 7
The following is a calculated X-ray powder pattern of RbCrSeO6. It was derived from a cell relaxed with PBE+U, using a wavelength of 1.5418 Å.
Kinematic intensities with the Lorentz-polarization factor, no thermal factor.

Structural model:
Lattice parameters (Å, degrees): 4.9861 4.9861 6.3971 90.00 90.00 120.00
Space group P312 (No. 149)
Inequivalent atoms, fractional coordinates:
Rb 0.0000 0.0000 0.0000 x1
Cr 0.3333 0.6667 0.5000 x1
Se 0.6667 0.3333 0.5000 x1
O 0.4028 0.0080 0.6667 x6

Most intense lines, 10° ≤ 2θ ≤ 90°, low angle first:
- 13.8 deg, d 6.397, intensity 265
- 24.9 deg, d 3.579, intensity 1000
- 27.9 deg, d 3.199, intensity 127
- 36.0 deg, d 2.493, intensity 211
- 44.3 deg, d 2.046, intensity 126
- 46.2 deg, d 1.966, intensity 397
- 47.6 deg, d 1.912, intensity 111
- 58.4 deg, d 1.581, intensity 164
- 61.1 deg, d 1.517, intensity 108
- 69.9 deg, d 1.346, intensity 105

---

No. 8
The following is a calculated X-ray powder pattern of RbSrCrO4. It was derived from a cell relaxed with PBE+U, using a wavelength of 1.5418 Å.
Kinematic intensities with the Lorentz-polarization factor, no thermal factor.

Structural model:
Lattice parameters (Å, degrees): 6.119 6.022 7.665 90.00 105.60 90.00
Space group P2_1/m (No. 11)
Inequivalent atoms, fractional coordinates:
Rb 0.215 0.250 0.430 x2
Sr 0.285 0.250 0.948 x2
Cr 0.252 0.750 0.169 x2
O 0.087 0.750 0.318 x2
O 0.090 0.750 0.950 x2
O 0.436 0.523 0.196 x4

Most intense lines, 10° ≤ 2θ ≤ 90°, low angle first:
- 12.0 deg, d 7.383, intensity 488
- 21.1 deg, d 4.212, intensity 774
- 21.7 deg, d 4.100, intensity 542
- 28.4 deg, d 3.147, intensity 908
- 28.9 deg, d 3.086, intensity 678
- 29.7 deg, d 3.011, intensity 1000
- 30.3 deg, d 2.947, intensity 532
- 35.3 deg, d 2.544, intensity 680
- 36.7 deg, d 2.449, intensity 645
- 42.9 deg, d 2.106, intensity 638

---

No. 9
The following is a calculated X-ray powder pattern of Rb2SrCrO4. It was derived from a cell relaxed with PBE+U, using a wavelength of 1.5418 Å.
Kinematic intensities with the Lorentz-polarization factor, no thermal factor.

Structural model:
Lattice parameters (Å, degrees): 7.285 7.549 6.217 90.00 90.00 90.00
Space group Pmn2_1 (No. 31)
Inequivalent atoms, fractional coordinates:
Rb 0.241 0.162 0.000 x4
Sr 0.000 0.382 0.486 x2
Cr 0.000 0.668 0.981 x2
O 0.000 0.450 0.105 x2
O 0.000 0.642 0.692 x2
O 0.212 0.786 0.048 x4

Most intense lines, 10° ≤ 2θ ≤ 90°, low angle first:
- 27.2 deg, d 3.281, intensity 693
- 27.6 deg, d 3.226, intensity 970
- 28.7 deg, d 3.109, intensity 705
- 30.8 deg, d 2.901, intensity 1000
- 39.9 deg, d 2.257, intensity 370
- 43.7 deg, d 2.070, intensity 353
- 50.2 deg, d 1.817, intensity 225
- 52.2 deg, d 1.752, intensity 304
- 53.2 deg, d 1.723, intensity 333
- 58.2 deg, d 1.586, intensity 237

---

No. 10
The following is a calculated X-ray powder pattern of RbCrTcO6. It was derived from a cell relaxed with PBE+U, using a wavelength of 1.5418 Å.
Kinematic intensities with the Lorentz-polarization factor, no thermal factor.

Structural model:
Lattice parameters (Å, degrees): 5.067 5.283 6.243 89.00 87.93 61.37
Space group P1 (No. 1)
Inequivalent atoms, fractional coordinates:
Rb 0.000 0.000 0.000 x1
Cr 0.348 0.304 0.496 x1
Tc 0.670 0.663 0.500 x1
O 0.005 0.415 0.677 x1
O 0.391 0.987 0.335 x1
O 0.433 0.574 0.681 x1
O 0.577 0.420 0.318 x1
O 0.626 0.987 0.659 x1
O 0.993 0.572 0.314 x1

Most intense lines, 10° ≤ 2θ ≤ 90°, low angle first:
- 14.2 deg, d 6.239, intensity 767
- 23.9 deg, d 3.722, intensity 875
- 24.2 deg, d 3.675, intensity 972
- 25.0 deg, d 3.567, intensity 1000
- 28.6 deg, d 3.120, intensity 317
- 34.0 deg, d 2.639, intensity 520
- 35.5 deg, d 2.532, intensity 184
- 44.6 deg, d 2.034, intensity 521
- 45.4 deg, d 1.996, intensity 225
- 47.0 deg, d 1.932, intensity 246

---

No. 11
The following is a calculated X-ray powder pattern of RbTl2Cr2O7. It was derived from a cell relaxed with PBE+U, using a wavelength of 1.5418 Å.
Kinematic intensities with the Lorentz-polarization factor, no thermal factor.

Structural model:
Lattice parameters (Å, degrees): 6.0732 6.0732 24.4142 90.00 90.00 120.00
Space group R32 (No. 155, hexagonal axes)
Inequivalent atoms, fractional coordinates:
Rb 0.0000 0.0000 0.0000 x3
Tl 0.0000 0.0000 0.2031 x6
Cr 0.0000 0.0000 0.4270 x6
O 0.0000 0.0000 0.5000 x3
O 0.0438 0.2818 0.4062 x18

Most intense lines, 10° ≤ 2θ ≤ 90°, low angle first:
- 10.9 deg, d 8.138, intensity 371
- 22.3 deg, d 3.984, intensity 184
- 24.9 deg, d 3.578, intensity 1000
- 29.4 deg, d 3.037, intensity 675
- 31.4 deg, d 2.845, intensity 242
- 38.9 deg, d 2.315, intensity 238
- 40.7 deg, d 2.214, intensity 213
- 44.8 deg, d 2.023, intensity 146
- 49.5 deg, d 1.841, intensity 263
- 52.2 deg, d 1.753, intensity 165

---

No. 12
The following is a calculated X-ray powder pattern of RbTl2CrO4. It was derived from a cell relaxed with PBE+U, using a wavelength of 1.5418 Å.
Kinematic intensities with the Lorentz-polarization factor, no thermal factor.

Structural model:
Lattice parameters (Å, degrees): 7.869 7.723 5.850 90.00 90.00 90.00
Space group Pmn2_1 (No. 31)
Inequivalent atoms, fractional coordinates:
Rb 0.000 0.096 0.000 x2
Tl 0.227 0.345 0.504 x4
Cr 0.000 0.798 0.531 x2
O 0.000 0.017 0.489 x2
O 0.000 0.746 0.825 x2
O 0.186 0.710 0.419 x4

Most intense lines, 10° ≤ 2θ ≤ 90°, low angle first:
- 11.5 deg, d 7.723, intensity 232
- 19.0 deg, d 4.663, intensity 403
- 25.4 deg, d 3.506, intensity 526
- 27.7 deg, d 3.223, intensity 858
- 29.7 deg, d 3.007, intensity 1000
- 30.6 deg, d 2.925, intensity 484
- 36.0 deg, d 2.493, intensity 228
- 40.2 deg, d 2.246, intensity 303
- 41.9 deg, d 2.154, intensity 247
- 52.8 deg, d 1.734, intensity 289